Entry 1:
The following is a simulated X-ray diffraction stick pattern of FeBiO3. It was derived from a PBE+U-relaxed structure, using CuKα.
Peak positions follow from Bragg's law for the DFT cell and can differ from measured ones.

Structure:
Unit cell a=5.7299 b=7.8644 c=5.4822 alpha=90.00 beta=90.00 gamma=90.00
Sites, in units of the cell vectors:
Fe 0.0000 0.0000 0.0000
Fe 0.0000 0.5000 0.0000
Fe 0.5000 0.0000 0.5000
Fe 0.5000 0.5000 0.5000
Bi 0.0529 0.2500 0.4893
Bi 0.4471 0.7500 0.9893
Bi 0.5529 0.2500 0.0107
Bi 0.9471 0.7500 0.5107
O 0.0295 0.7500 0.0973
O 0.1992 0.5473 0.6948
O 0.1992 0.9527 0.6948
O 0.3008 0.0473 0.1948
O 0.3008 0.4527 0.1948
O 0.4705 0.2500 0.5973
O 0.5295 0.7500 0.4027
O 0.6992 0.5473 0.8052
O 0.6992 0.9527 0.8052
O 0.8008 0.0473 0.3052
O 0.8008 0.4527 0.3052
O 0.9705 0.2500 0.9027

Main lines, most intense first (10° ≤ 2θ ≤ 90°):
| two_theta | d [Å] | Rel. int. |
| --- | --- | --- |
| 32.07 | 2.791 | 100.0 |
| 22.44 | 3.961 | 31.8 |
| 32.67 | 2.741 | 25.1 |
| 51.99 | 1.759 | 23.2 |
| 57.93 | 1.592 | 22.4 |
| 31.22 | 2.865 | 21.1 |



Entry 2:
The following is a simulated X-ray diffraction stick pattern of Li4Cr5SbO12. It was derived from a PBE+U-relaxed structure, using CuKα.
Peak positions follow from Bragg's law for the DFT cell and can differ from measured ones.

Structure:
Unit cell a=5.2420 b=5.2420 c=10.5174 alpha=93.99 beta=93.99 gamma=120.02
Sites, in units of the cell vectors:
Li 0.2223 0.2223 0.2079
Li 0.4412 0.1147 0.7923
Li 0.7777 0.7777 0.7921
Li 0.8853 0.5588 0.2077
Cr 0.1688 0.8312 0.0000
Cr 0.4936 0.5064 0.0000
Cr 0.6663 0.3337 0.5000
Cr 0.8317 0.1683 0.0000
Cr 0.9968 0.0032 0.5000
Sb 0.3316 0.6684 0.5000
O 0.0275 0.3644 0.5960
O 0.1355 0.1275 0.8969
O 0.1812 0.5193 0.1046
O 0.3043 0.3084 0.3997
O 0.3588 0.0285 0.6003
O 0.4807 0.8188 0.8954
O 0.5265 0.2090 0.1030
O 0.6356 0.9725 0.4040
O 0.6916 0.6957 0.6003
O 0.7910 0.4735 0.8970
O 0.8725 0.8645 0.1031
O 0.9715 0.6412 0.3997

Main lines, most intense first (10° ≤ 2θ ≤ 90°):
| two_theta | d [Å] | Rel. int. |
| --- | --- | --- |
| 17.03 | 5.207 | 100.0 |
| 41.77 | 2.163 | 18.0 |
| 36.00 | 2.495 | 17.7 |
| 44.84 | 2.021 | 14.6 |
| 61.28 | 1.513 | 14.4 |
| 34.79 | 2.579 | 13.5 |



Entry 3:
The following is a simulated X-ray diffraction stick pattern of BaNdEuWO6. It was derived from a PBE+U-relaxed structure, using CuKα.
Peak positions follow from Bragg's law for the DFT cell and can differ from measured ones.

Structure:
Unit cell a=6.1018 b=6.1018 c=6.1018 alpha=60.00 beta=60.00 gamma=60.00
Sites, in units of the cell vectors:
Ba 0.0000 0.0000 0.0000
Nd 0.7500 0.7500 0.7500
Eu 0.5000 0.5000 0.5000
W 0.2500 0.2500 0.2500
O 0.0180 0.0180 0.4820
O 0.0180 0.4820 0.0180
O 0.0180 0.4820 0.4820
O 0.4820 0.0180 0.0180
O 0.4820 0.0180 0.4820
O 0.4820 0.4820 0.0180

Main lines, most intense first (10° ≤ 2θ ≤ 90°):
| two_theta | d [Å] | Rel. int. |
| --- | --- | --- |
| 29.27 | 3.051 | 100.0 |
| 51.91 | 1.761 | 41.1 |
| 41.88 | 2.157 | 28.1 |
| 83.91 | 1.153 | 21.9 |
| 68.81 | 1.364 | 18.5 |
| 60.71 | 1.525 | 17.8 |



Entry 4:
The following is a simulated X-ray diffraction stick pattern of FeOF. It was derived from a PBE+U-relaxed structure, using CuKα.
Peak positions follow from Bragg's law for the DFT cell and can differ from measured ones.

Structure:
Unit cell a=9.5859 b=3.1296 c=14.3096 alpha=90.00 beta=90.06 gamma=90.00
Sites, in units of the cell vectors:
Fe 0.0000 0.0000 0.0000
Fe 0.0014 0.0000 0.6657
Fe 0.2236 0.5000 0.4985
Fe 0.2764 0.5000 0.1731
Fe 0.2785 0.5000 0.8389
Fe 0.4922 0.0000 0.0067
Fe 0.4947 0.0000 0.6731
Fe 0.5074 0.0000 0.3273
Fe 0.7618 0.5000 0.1882
Fe 0.7795 0.5000 0.5049
Fe 0.7837 0.5000 0.8368
Fe 0.9953 0.0000 0.3414
O 0.1010 0.5000 0.6074
O 0.1533 0.0000 0.4343
O 0.3484 0.0000 0.2382
O 0.3580 0.0000 0.9004
O 0.4095 0.5000 0.7295
O 0.4115 0.5000 0.0692
O 0.6012 0.5000 0.2740
O 0.8504 0.0000 0.5683
O 0.8555 0.0000 0.8999
O 0.8583 0.0000 0.2360
O 0.9072 0.5000 0.3989
O 0.9141 0.5000 0.7324
F 0.1036 0.5000 0.2651
F 0.1119 0.5000 0.9366
F 0.1555 0.0000 0.1024
F 0.1601 0.0000 0.7749
F 0.3534 0.0000 0.5642
F 0.4080 0.5000 0.4064
F 0.6019 0.5000 0.6033
F 0.6077 0.5000 0.9370
F 0.6535 0.0000 0.4413
F 0.6591 0.0000 0.7685
F 0.6652 0.0000 0.1031
F 0.9063 0.5000 0.0731

Main lines, most intense first (10° ≤ 2θ ≤ 90°):
| two_theta | d [Å] | Rel. int. |
| --- | --- | --- |
| 26.36 | 3.381 | 100.0 |
| 34.24 | 2.619 | 55.5 |
| 51.84 | 1.764 | 30.8 |
| 51.73 | 1.767 | 28.1 |
| 39.23 | 2.297 | 18.0 |
| 54.26 | 1.690 | 16.3 |



Entry 5:
The following is a simulated X-ray diffraction stick pattern of Li2CrP2O7. It was derived from a PBE+U-relaxed structure, using CuKα.
Peak positions follow from Bragg's law for the DFT cell and can differ from measured ones.

Structure:
Unit cell a=8.1820 b=8.1820 c=8.9429 alpha=113.86 beta=113.86 gamma=35.89
Sites, in units of the cell vectors:
Li 0.0464 0.3337 0.0522
Li 0.3337 0.0464 0.5522
Li 0.6663 0.9536 0.4478
Li 0.9536 0.6663 0.9478
Cr 0.0000 0.0000 0.0000
Cr 0.0000 0.0000 0.5000
P 0.2617 0.5323 0.6844
P 0.4677 0.7383 0.8156
P 0.5323 0.2617 0.1844
P 0.7383 0.4677 0.3156
O 0.0530 0.7432 0.5597
O 0.1252 0.6623 0.8372
O 0.2460 0.3989 0.1105
O 0.2568 0.9470 0.9403
O 0.3377 0.8748 0.6628
O 0.3989 0.2460 0.6105
O 0.4817 0.5183 0.2500
O 0.5183 0.4817 0.7500
O 0.6011 0.7540 0.3895
O 0.6623 0.1252 0.3372
O 0.7432 0.0530 0.0597
O 0.7540 0.6011 0.8895
O 0.8748 0.3377 0.1628
O 0.9470 0.2568 0.4403

Main lines, most intense first (10° ≤ 2θ ≤ 90°):
| two_theta | d [Å] | Rel. int. |
| --- | --- | --- |
| 26.82 | 3.324 | 100.0 |
| 12.56 | 7.045 | 87.5 |
| 20.29 | 4.378 | 34.0 |
| 23.04 | 3.861 | 27.8 |
| 25.93 | 3.437 | 23.4 |
| 28.36 | 3.147 | 19.1 |



Entry 6:
The following is a simulated X-ray diffraction stick pattern of Li9Mn2Co5O16. It was derived from a PBE+U-relaxed structure, using CuKα.
Peak positions follow from Bragg's law for the DFT cell and can differ from measured ones.

Structure:
Unit cell a=5.7660 b=5.8374 c=10.1085 alpha=74.17 beta=73.77 gamma=60.64
Sites, in units of the cell vectors:
Li 0.0000 0.0000 0.0000
Li 0.2419 0.7596 0.7525
Li 0.2440 0.2484 0.7511
Li 0.2480 0.7601 0.2388
Li 0.2546 0.2508 0.2469
Li 0.7454 0.7492 0.7531
Li 0.7520 0.2399 0.7612
Li 0.7560 0.7516 0.2489
Li 0.7581 0.2404 0.2475
Mn 0.0000 0.0000 0.5000
Mn 0.0000 0.5000 0.0000
Co 0.0000 0.5000 0.5000
Co 0.5000 0.0000 0.0000
Co 0.5000 0.0000 0.5000
Co 0.5000 0.5000 0.0000
Co 0.5000 0.5000 0.5000
O 0.1041 0.1281 0.6220
O 0.1117 0.6498 0.6162
O 0.1427 0.1413 0.1059
O 0.1454 0.6092 0.1105
O 0.3551 0.4042 0.8822
O 0.3615 0.8854 0.3875
O 0.3790 0.3472 0.3888
O 0.3928 0.8485 0.8972
O 0.6072 0.1515 0.1028
O 0.6210 0.6528 0.6112
O 0.6385 0.1146 0.6125
O 0.6449 0.5958 0.1178
O 0.8546 0.3908 0.8895
O 0.8573 0.8587 0.8941
O 0.8883 0.3502 0.3838
O 0.8959 0.8719 0.3780

Main lines, most intense first (10° ≤ 2θ ≤ 90°):
| two_theta | d [Å] | Rel. int. |
| --- | --- | --- |
| 18.53 | 4.788 | 100.0 |
| 43.33 | 2.088 | 26.9 |
| 44.02 | 2.057 | 26.0 |
| 44.33 | 2.043 | 25.6 |
| 35.78 | 2.510 | 14.5 |
| 36.30 | 2.475 | 14.1 |



Entry 7:
The following is a simulated X-ray diffraction stick pattern of VBiO5. It was derived from a PBE+U-relaxed structure, using CuKα.
Peak positions follow from Bragg's law for the DFT cell and can differ from measured ones.

Structure:
Unit cell a=6.0132 b=15.4456 c=11.5749 alpha=90.00 beta=90.00 gamma=90.00
Sites, in units of the cell vectors:
V 0.0220 0.1141 0.1004
V 0.0220 0.3859 0.6004
V 0.4780 0.6141 0.1004
V 0.4780 0.8859 0.6004
V 0.5220 0.1141 0.3996
V 0.5220 0.3859 0.8996
V 0.9780 0.6141 0.3996
V 0.9780 0.8859 0.8996
Bi 0.0791 0.7085 0.6783
Bi 0.0791 0.7915 0.1783
Bi 0.4209 0.2085 0.6783
Bi 0.4209 0.2915 0.1783
Bi 0.5791 0.7085 0.8217
Bi 0.5791 0.7915 0.3217
Bi 0.9209 0.2085 0.8217
Bi 0.9209 0.2915 0.3217
O 0.1178 0.5378 0.3297
O 0.1178 0.9622 0.8297
O 0.1212 0.2019 0.2036
O 0.1212 0.2981 0.7036
O 0.1603 0.6657 0.5088
O 0.1603 0.8343 0.0088
O 0.2328 0.1443 0.8022
O 0.2328 0.3557 0.3022
O 0.2495 0.0708 0.0465
O 0.2495 0.4292 0.5465
O 0.2505 0.5708 0.0465
O 0.2505 0.9292 0.5465
O 0.2672 0.6443 0.8022
O 0.2672 0.8557 0.3022
O 0.3397 0.1657 0.5088
O 0.3397 0.3343 0.0088
O 0.3788 0.7019 0.2036
O 0.3788 0.7981 0.7036
O 0.3822 0.0378 0.3297
O 0.3822 0.4622 0.8297
O 0.6178 0.5378 0.1703
O 0.6178 0.9622 0.6703
O 0.6212 0.2019 0.2964
O 0.6212 0.2981 0.7964
O 0.6603 0.6657 0.9912
O 0.6603 0.8343 0.4912
O 0.7328 0.1443 0.6978
O 0.7328 0.3557 0.1978
O 0.7495 0.0708 0.4535
O 0.7495 0.4292 0.9535
O 0.7505 0.5708 0.4535
O 0.7505 0.9292 0.9535
O 0.7672 0.6443 0.6978
O 0.7672 0.8557 0.1978
O 0.8397 0.1657 0.9912
O 0.8397 0.3343 0.4912
O 0.8788 0.7019 0.2964
O 0.8788 0.7981 0.7964
O 0.8822 0.0378 0.1703
O 0.8822 0.4622 0.6703

Main lines, most intense first (10° ≤ 2θ ≤ 90°):
| two_theta | d [Å] | Rel. int. |
| --- | --- | --- |
| 11.46 | 7.723 | 100.0 |
| 24.29 | 3.664 | 54.0 |
| 27.53 | 3.240 | 38.6 |
| 19.16 | 4.631 | 32.4 |
| 34.90 | 2.571 | 31.5 |
| 22.08 | 4.026 | 29.5 |



Entry 8:
The following is a simulated X-ray diffraction stick pattern of Li4MnFe3P4O16. It was derived from a PBE+U-relaxed structure, using CuKα.
Peak positions follow from Bragg's law for the DFT cell and can differ from measured ones.

Structure:
Unit cell a=7.7296 b=7.7405 c=10.5170 alpha=90.08 beta=90.05 gamma=103.99
Sites, in units of the cell vectors:
Li 0.0000 0.0000 0.0000
Li 0.0000 0.5000 0.5000
Li 0.2504 0.2500 0.4995
Li 0.2505 0.7498 0.0005
Li 0.5000 0.0000 0.5000
Li 0.5000 0.5000 0.0000
Li 0.7495 0.2502 0.9995
Li 0.7496 0.7500 0.5005
Mn 0.1147 0.3642 0.7824
Mn 0.8853 0.6358 0.2176
Fe 0.1128 0.8630 0.7174
Fe 0.3870 0.1366 0.2176
Fe 0.3876 0.6379 0.2826
Fe 0.6124 0.3621 0.7174
Fe 0.6130 0.8634 0.7824
Fe 0.8872 0.1370 0.2826
P 0.1674 0.9174 0.4049
P 0.1687 0.4166 0.0966
P 0.3337 0.0816 0.9045
P 0.3353 0.5854 0.5943
P 0.6647 0.4146 0.4057
P 0.6663 0.9184 0.0955
P 0.8313 0.5834 0.9034
P 0.8326 0.0826 0.5951
O 0.0055 0.2568 0.0992
O 0.0055 0.7557 0.4020
O 0.1319 0.0849 0.3346
O 0.1373 0.5863 0.1660
O 0.1636 0.1125 0.8348
O 0.1668 0.6204 0.6643
O 0.2295 0.4778 0.9593
O 0.2287 0.9789 0.5420
O 0.2724 0.5224 0.4576
O 0.2729 0.0212 0.0420
O 0.3349 0.8821 0.3346
O 0.3365 0.3801 0.1658
O 0.3703 0.4170 0.6642
O 0.3696 0.9135 0.8350
O 0.4934 0.2445 0.9006
O 0.4964 0.7463 0.5978
O 0.5036 0.2537 0.4022
O 0.5066 0.7555 0.0994
O 0.6304 0.0865 0.1650
O 0.6297 0.5830 0.3358
O 0.6635 0.6199 0.8342
O 0.6651 0.1179 0.6654
O 0.7271 0.9788 0.9580
O 0.7276 0.4776 0.5424
O 0.7713 0.0211 0.4580
O 0.7705 0.5222 0.0407
O 0.8332 0.3796 0.3357
O 0.8364 0.8875 0.1652
O 0.8627 0.4137 0.8340
O 0.8681 0.9151 0.6654
O 0.9945 0.2443 0.5980
O 0.9945 0.7432 0.9008

Main lines, most intense first (10° ≤ 2θ ≤ 90°):
| two_theta | d [Å] | Rel. int. |
| --- | --- | --- |
| 35.03 | 2.562 | 100.0 |
| 25.20 | 3.534 | 89.8 |
| 29.31 | 3.047 | 66.3 |
| 20.47 | 4.339 | 61.3 |
| 16.86 | 5.259 | 33.1 |
| 51.71 | 1.768 | 31.6 |